Simulated X-ray diffraction stick pattern of Pr2ErTm4 for CuKα, from a DFT-relaxed cell (GGA-PBE, Alexandria).
Neutral-atom scattering factors, no anomalous dispersion.

Structure:
Unit cell a=6.708 b=8.871 c=8.879 alpha=80.81 beta=67.86 gamma=67.80
Space group P1 (No. 1)
Asymmetric unit:
1 Pr 0.000 0.000 0.000 x1
2 Pr 0.003 0.500 0.500 x1
3 Pr 0.107 0.026 0.530 x1
4 Pr 0.663 0.974 0.470 x1
5 Er 0.111 0.526 0.023 x1
6 Er 0.660 0.475 0.977 x1
7 Tm 0.221 0.253 0.755 x1
8 Tm 0.229 0.747 0.245 x1
9 Tm 0.361 0.154 0.150 x1
10 Tm 0.370 0.649 0.654 x1
11 Tm 0.664 0.847 0.851 x1
12 Tm 0.667 0.252 0.751 x1
13 Tm 0.670 0.747 0.250 x1
14 Tm 0.673 0.351 0.346 x1

Most intense lines, 10° ≤ 2θ ≤ 80°, by angle:
| Position (°2θ) | intensity | h k l |
| --- | --- | --- |
| 26.37 | 153 | 1 2 2 |
| 30.68 | 1000 | 1 0 -2 |
| 30.86 | 452 | 2 0 2 |
| 31.09 | 564 | 0 2 -2 |
| 34.30 | 340 | 0 3 1 |
| 34.52 | 485 | 2 3 1 |
| 44.27 | 143 | 2 4 0 |
| 55.06 | 143 | 1 2 -4 |
| 56.78 | 184 | 2 5 3 |
| 57.24 | 236 | 4 3 1 |